CeSn3: computed XRD peak list (Cu Ka), based on a structure optimized by DFT (PBE).

Cell and atoms:
a = 4.720 Å, b = 4.720 Å, c = 4.720 Å
α = 90.00°, β = 90.00°, γ = 90.00°
Fractional coordinates of all 4 atoms:
Ce: 0.000 0.000 0.000
Sn: 0.000 0.500 0.500
Sn: 0.500 0.000 0.500
Sn: 0.500 0.500 0.000

Peak list (5 most intense, 2θ from 5° to 70°, by angle)
two_theta  intensity  hkl
32.86  100.0  1 1 1
38.13  50.4  2 0 0
55.03  35.5  2 2 0
65.60  42.4  3 1 1
68.91  12.3  2 2 2